1.
Starting from a structure optimized by DFT (GGA-PBE), the powder diffraction line list of PrSbO4 was calculated for copper Kα.
No peak broadening, texture or thermal motion is included.

Peak list (10 most intense, 10 to 90 degrees two-theta, in order of rising 2θ)
2θ/deg	d (Å)	I (rel.)
27.83	3.206	100
30.61	2.921	14
33.04	2.711	20
45.66	1.987	31
47.42	1.917	14
52.73	1.736	17
55.88	1.645	28
57.50	1.603	11
73.63	1.286	19
87.01	1.120	8

Structural model:
abc: 6.987 6.987 6.987
angles: 134.33 134.33 66.57
Positions (direct):
Pr 0.375 0.125 0.250
Pr 0.625 0.875 0.750
Sb 0.125 0.375 0.750
Sb 0.875 0.625 0.250
O 0.042 0.212 0.331
O 0.210 0.542 0.329
O 0.288 0.119 0.829
O 0.381 0.710 0.169
O 0.619 0.290 0.831
O 0.712 0.881 0.171
O 0.790 0.458 0.671
O 0.958 0.788 0.669

2.
Starting from a structure optimized by DFT (GGA-PBE), the powder diffraction line list of Sm2Y3Tm7 was calculated for copper Kα.
No peak broadening, texture or thermal motion is included.

Peak list (10 most intense, 10 to 90 degrees two-theta, in order of rising 2θ)
2θ/deg	d (Å)	I (rel.)
29.98	2.981	57
31.07	2.878	84
31.20	2.867	95
31.60	2.831	100
34.12	2.627	63
35.13	2.554	73
38.37	2.346	28
50.78	1.798	34
53.40	1.716	40
62.15	1.494	27

Structural model:
abc: 6.288 3.500 17.303
angles: 90.00 96.21 90.00
Positions (direct):
Sm 0.061 0.000 0.174
Sm 0.939 0.000 0.826
Y 0.450 0.500 0.843
Y 0.500 0.000 0.500
Y 0.550 0.500 0.157
Tm 0.000 0.500 0.500
Tm 0.225 0.000 0.666
Tm 0.255 0.000 0.999
Tm 0.274 0.500 0.336
Tm 0.726 0.500 0.664
Tm 0.745 0.000 0.001
Tm 0.775 0.000 0.334

3.
Starting from a structure optimized by DFT (GGA-PBE), the powder diffraction line list of LiGeAu3 was calculated for copper Kα.
No peak broadening, texture or thermal motion is included.

Peak list (10 most intense, 10 to 90 degrees two-theta, in order of rising 2θ)
2θ/deg	d (Å)	I (rel.)
19.21	4.621	44
27.23	3.275	51
34.22	2.620	36
35.28	2.544	100
35.42	2.534	71
38.65	2.329	54
41.71	2.165	31
42.21	2.141	28
50.25	1.816	26
51.88	1.762	27

Structural model:
abc: 7.090 7.090 7.499
angles: 99.68 99.68 95.38
Positions (direct):
Li 0.064 0.936 0.750
Li 0.399 0.601 0.250
Li 0.601 0.399 0.750
Li 0.936 0.064 0.250
Ge 0.225 0.530 0.619
Ge 0.470 0.775 0.881
Ge 0.530 0.225 0.119
Ge 0.775 0.470 0.381
Au 0.018 0.401 0.150
Au 0.098 0.767 0.401
Au 0.233 0.902 0.099
Au 0.245 0.292 0.890
Au 0.292 0.245 0.390
Au 0.401 0.018 0.650
Au 0.599 0.982 0.350
Au 0.708 0.755 0.610
Au 0.755 0.708 0.110
Au 0.767 0.098 0.901
Au 0.902 0.233 0.599
Au 0.982 0.599 0.850

4.
Starting from a structure optimized by DFT (GGA-PBE), the powder diffraction line list of Ho3MnAg3S8 was calculated for copper Kα.
No peak broadening, texture or thermal motion is included.

Peak list (10 most intense, 10 to 90 degrees two-theta, in order of rising 2θ)
2θ/deg	d (Å)	I (rel.)
13.89	6.378	21
16.13	5.496	29
22.91	3.882	21
27.98	3.189	23
28.17	3.167	66
32.54	2.752	100
32.69	2.740	49
46.70	1.945	34
46.88	1.938	51
77.81	1.228	20

Structural model:
abc: 7.752 7.752 7.815
angles: 120.02 120.02 60.01
Positions (direct):
Ho 0.000 0.000 0.000
Ho 0.000 0.500 0.000
Ho 0.500 0.000 0.000
Mn 0.500 0.500 0.000
Ag 0.000 0.500 0.500
Ag 0.500 0.000 0.500
Ag 0.500 0.500 0.500
S 0.246 0.246 0.235
S 0.278 0.721 0.217
S 0.279 0.279 0.783
S 0.279 0.722 0.783
S 0.721 0.278 0.217
S 0.721 0.721 0.217
S 0.722 0.279 0.783
S 0.754 0.754 0.765